# V4FeCuO12
Calculated X-ray diffraction stick pattern, Cu Kα (λ = 1.5418 Å). Input: the PBE+U geometry in Alexandria.
No peak broadening, texture or thermal motion is included.

Crystal structure
```
data_V4FeCuO12
_symmetry_space_group_name_H-M 'C 1 2 1'
_symmetry_Int_Tables_number 5
_symmetry_space_group_name_Hall 'C 2y'
_cell_length_a 10.0693
_cell_length_b 9.0412
_cell_length_c 5.9143
_cell_angle_alpha 90.00
_cell_angle_beta 110.22
_cell_angle_gamma 90.00
loop_
_atom_site_label
_atom_site_fract_x
_atom_site_fract_y
_atom_site_fract_z
V1 0.1999 0.0000 0.4903
V2 0.2067 0.8192 0.0022
Fe1 0.0000 0.3270 0.5000
Cu1 0.0000 0.5032 0.0000
O1 0.1100 0.3355 0.8654
O2 0.1191 0.4903 0.4166
O3 0.1335 0.9185 0.1981
O4 0.1395 0.1777 0.4736
O5 0.1465 0.8947 0.6994
O6 0.1533 0.6436 0.9900
```

Largest 8 diffraction maxima, low angle first, 5° ≤ 2θ ≤ 70°:
(1 1 0), 13.6 deg, d = 6.532 Å, I = 26.3; (1 1 -1), 18.3 deg, d = 4.838 Å, I = 47.9; (0 2 0), 19.6 deg, d = 4.521 Å, I = 45.8; (1 1 1), 23.4 deg, d = 3.805 Å, I = 25.8; (2 2 -1), 28.2 deg, d = 3.165 Å, I = 100.0; (3 1 0), 30.0 deg, d = 2.974 Å, I = 61.8; (0 0 2), 32.3 deg, d = 2.775 Å, I = 47.3; (2 2 1), 35.1 deg, d = 2.560 Å, I = 27.3